Simulated powder diffractogram
Compound: Rb2CrGeF6
Radiation: λ = 1.5418 Å (Cu Kα)
Structure: a cell relaxed with PBE+U
Intensities are scaled so that the largest is 100.

Cell lengths 6.113, 6.113, 9.144 Å; angles 90.00, 90.00, 90.00 degrees
Space group I4/mmm (No. 139)
One atom of each set of equivalent atoms:
Rb  0.000  0.500  0.250
Cr  0.000  0.000  0.000
Ge  0.000  0.000  0.500
F  0.000  0.000  0.260
F  0.237  0.237  0.000

Largest 10 diffraction maxima, sorted by position, 10 to 90 degrees two-theta:
2θ (°)  I/Imax  (hkl)
28.42  100  1 1 2
29.22  47  2 0 0
35.32  21  2 0 2
39.42  26  0 0 4
41.80  43  2 2 0
49.81  21  2 0 4
51.32  38  3 1 2
58.80  28  2 2 4
60.59  13  4 0 0
74.72  13  4 0 4